Record 1
Structure and theoretical X-ray diffraction stick pattern of Hf5Rh2N (a DFT-relaxed cell (GGA-PBE, Alexandria); Cu Kα (λ = 1.5418 Å)).

Main lines, by intensity (10 to 90 degrees two-theta):
- d = 2.360 Å, 38.13 deg, I 1000
- d = 2.719 Å, 32.94 deg, I 900
- d = 2.482 Å, 36.19 deg, I 691
- d = 2.227 Å, 40.51 deg, I 511
- d = 4.241 Å, 20.95 deg, I 466
- d = 1.657 Å, 55.43 deg, I 408
- d = 2.252 Å, 40.04 deg, I 335
- d = 6.958 Å, 12.72 deg, I 324
- d = 3.212 Å, 27.77 deg, I 237
- d = 1.350 Å, 69.62 deg, I 200

Crystal structure
a b c (Å): 7.306 7.306 10.628
angles (deg): 90.00 90.00 144.51
Fractional positions:
Hf (0.082, 0.918, 0.608)
Hf (0.082, 0.918, 0.892)
Hf (0.292, 0.708, 0.250)
Hf (0.303, 0.697, 0.578)
Hf (0.303, 0.697, 0.922)
Hf (0.697, 0.303, 0.078)
Hf (0.697, 0.303, 0.422)
Hf (0.708, 0.292, 0.750)
Hf (0.918, 0.082, 0.108)
Hf (0.918, 0.082, 0.392)
Rh (0.109, 0.891, 0.129)
Rh (0.109, 0.891, 0.371)
Rh (0.891, 0.109, 0.629)
Rh (0.891, 0.109, 0.871)
N (0.204, 0.796, 0.750)
N (0.796, 0.204, 0.250)

Record 2
Structure and theoretical X-ray diffraction stick pattern of CaHo5Al3 (a DFT-relaxed cell (GGA-PBE, Alexandria); Cu Kα (λ = 1.5418 Å)).

Main lines, by intensity (10 to 90 degrees two-theta):
- d = 2.676 Å, 33.49 deg, I 1000
- d = 2.619 Å, 34.24 deg, I 971
- d = 3.743 Å, 23.77 deg, I 687
- d = 1.523 Å, 60.83 deg, I 357
- d = 1.872 Å, 48.65 deg, I 349
- d = 1.400 Å, 66.81 deg, I 278
- d = 7.856 Å, 11.26 deg, I 205
- d = 1.512 Å, 61.31 deg, I 180
- d = 1.117 Å, 87.29 deg, I 158
- d = 2.146 Å, 42.11 deg, I 157

Crystal structure
a b c (Å): 9.072 9.072 6.628
angles (deg): 90.00 90.00 120.00
Fractional positions:
Ca (0.000, 0.000, 0.000)
Ca (0.000, 0.000, 0.500)
Ho (0.000, 0.332, 0.250)
Ho (0.000, 0.668, 0.750)
Ho (0.332, 0.000, 0.250)
Ho (0.332, 0.332, 0.750)
Ho (0.333, 0.667, 0.000)
Ho (0.333, 0.667, 0.500)
Ho (0.667, 0.333, 0.000)
Ho (0.667, 0.333, 0.500)
Ho (0.668, 0.000, 0.750)
Ho (0.668, 0.668, 0.250)
Al (0.000, 0.338, 0.750)
Al (0.000, 0.662, 0.250)
Al (0.338, 0.000, 0.750)
Al (0.338, 0.338, 0.250)
Al (0.662, 0.000, 0.250)
Al (0.662, 0.662, 0.750)

Record 3
Structure and theoretical X-ray diffraction stick pattern of Pr3Y2Ho (a DFT-relaxed cell (GGA-PBE, Alexandria); Cu Kα (λ = 1.5418 Å)).

Main lines, by intensity (10 to 90 degrees two-theta):
- d = 2.967 Å, 30.12 deg, I 1000
- d = 2.592 Å, 34.61 deg, I 173
- d = 2.580 Å, 34.77 deg, I 170
- d = 2.537 Å, 35.38 deg, I 162
- d = 1.559 Å, 59.26 deg, I 145
- d = 1.554 Å, 59.47 deg, I 143
- d = 1.535 Å, 60.29 deg, I 137
- d = 1.483 Å, 62.62 deg, I 123
- d = 1.829 Å, 49.87 deg, I 122
- d = 1.809 Å, 50.45 deg, I 119

Crystal structure
a b c (Å): 8.164 8.164 5.074
angles (deg): 90.00 90.00 142.98
Fractional positions:
Pr (0.000, 0.000, 0.000)
Pr (0.334, 0.666, 0.000)
Pr (0.666, 0.334, 0.000)
Y (0.166, 0.834, 0.500)
Y (0.834, 0.166, 0.500)
Ho (0.500, 0.500, 0.500)